This entry pairs a crystal structure of TbRh4O8 with its theoretical powder diffractogram. Radiation: CuKα. Structure: the GGA-PBE geometry in Alexandria.
No peak broadening, texture or thermal motion is included.

Peak list (6 most intense, 2θ = 10–90°, sorted by position)
two_theta	d (Å)	I_rel
17.43	5.089	100
20.13	4.411	30
33.68	2.661	45
35.21	2.549	59
40.92	2.206	93
59.17	1.561	30

Cell and atoms:
Lattice parameters (Å, degrees): 6.231 6.231 6.231 60.15 60.15 60.15
Fractional positions:
Tb 0.000 0.000 0.000
Rh 0.000 0.000 0.500
Rh 0.000 0.500 0.000
Rh 0.500 0.000 0.000
Rh 0.500 0.500 0.500
O 0.227 0.227 0.227
O 0.233 0.735 0.735
O 0.265 0.265 0.767
O 0.265 0.767 0.265
O 0.735 0.233 0.735
O 0.735 0.735 0.233
O 0.767 0.265 0.265
O 0.773 0.773 0.773

This entry pairs a crystal structure of PmPaBi with its theoretical powder diffractogram. Radiation: CuKα. Structure: the GGA-PBE geometry in Alexandria.
No peak broadening, texture or thermal motion is included.

Peak list (6 most intense, 2θ = 10–90°, sorted by position)
two_theta	d (Å)	I_rel
23.55	3.778	25
30.33	2.947	91
35.09	2.557	100
38.75	2.324	28
43.43	2.084	35
57.01	1.615	51

Cell and atoms:
Lattice parameters (Å, degrees): 11.711 11.711 11.711 159.50 159.50 29.15
Fractional positions:
Pm 0.125 0.125 0.000
Pm 0.875 0.875 0.000
Pa 0.276 0.276 0.000
Pa 0.724 0.724 0.000
Bi 0.426 0.426 0.000
Bi 0.574 0.574 0.000

This entry pairs a crystal structure of Ba3Sr with its theoretical powder diffractogram. Radiation: CuKα. Structure: the GGA-PBE geometry in Alexandria.
No peak broadening, texture or thermal motion is included.

Peak list (6 most intense, 2θ = 10–90°, sorted by position)
two_theta	d (Å)	I_rel
25.44	3.502	100
36.28	2.476	20
44.83	2.022	43
52.25	1.751	14
58.98	1.566	19
71.24	1.324	18

Cell and atoms:
Lattice parameters (Å, degrees): 8.210 8.210 8.210 144.91 129.45 63.02
Fractional positions:
Ba 0.000 0.000 0.000
Ba 0.252 0.752 0.500
Ba 0.748 0.248 0.500
Sr 0.500 0.500 0.000

This entry pairs a crystal structure of Nd4AlTe with its theoretical powder diffractogram. Radiation: CuKα. Structure: the GGA-PBE geometry in Alexandria.
No peak broadening, texture or thermal motion is included.

Peak list (6 most intense, 2θ = 10–90°, sorted by position)
two_theta	d (Å)	I_rel
24.42	3.645	72
24.82	3.587	47
30.57	2.924	100
31.04	2.881	49
31.32	2.856	86
39.17	2.300	49

Cell and atoms:
Lattice parameters (Å, degrees): 6.074 9.269 7.761 90.00 103.75 90.00
Fractional positions:
Nd 0.025 0.053 0.248
Nd 0.025 0.447 0.248
Nd 0.421 0.750 0.479
Nd 0.427 0.250 0.006
Nd 0.573 0.750 0.994
Nd 0.579 0.250 0.521
Nd 0.975 0.553 0.752
Nd 0.975 0.947 0.752
Al 0.106 0.750 0.079
Al 0.894 0.250 0.921
Te 0.105 0.250 0.600
Te 0.895 0.750 0.400